1.
The following is a computed XRD peak list of Sr2Ga5Ag3. It was derived from a DFT-relaxed cell (PBE, Alexandria), using CuKα.
Kinematic intensities with the Lorentz-polarization factor, no thermal factor.

Cell and atoms:
a = 4.4283 Å, b = 4.4283 Å, c = 11.4851 Å
α = 90.00°, β = 90.00°, γ = 90.00°
Atoms (fractional coordinates):
Sr 0.0000 0.5000 0.2442
Sr 0.5000 0.0000 0.7558
Ga 0.0000 0.0000 0.0000
Ga 0.0000 0.0000 0.5000
Ga 0.0000 0.5000 0.8706
Ga 0.5000 0.0000 0.1294
Ga 0.5000 0.5000 0.0000
Ag 0.0000 0.5000 0.6444
Ag 0.5000 0.0000 0.3556
Ag 0.5000 0.5000 0.5000

Largest 10 diffraction maxima, low angle first, 2θ from 15° to 90°:
d (Å), 2θ (°), I_rel
2.896, 30.9, 468
2.749, 32.6, 1000
2.214, 40.8, 636
2.116, 42.7, 360
2.039, 44.4, 335
1.759, 52.0, 211
1.566, 59.0, 206
1.500, 61.9, 242
1.360, 69.0, 214
1.205, 79.6, 130


2.
The following is a computed XRD peak list of Sm2Zn3Cd6. It was derived from a DFT-relaxed cell (PBE, Alexandria), using CuKα.
Kinematic intensities with the Lorentz-polarization factor, no thermal factor.

Cell and atoms:
a = 8.0849 Å, b = 8.0849 Å, c = 4.4508 Å
α = 90.00°, β = 90.00°, γ = 120.00°
Atoms (fractional coordinates):
Sm 0.3333 0.6667 0.0000
Sm 0.6667 0.3333 0.0000
Zn 0.0000 0.3908 0.5000
Zn 0.3908 0.0000 0.5000
Zn 0.6092 0.6092 0.5000
Cd 0.0000 0.2084 0.0000
Cd 0.0000 0.7109 0.5000
Cd 0.2084 0.0000 0.0000
Cd 0.2891 0.2891 0.5000
Cd 0.7109 0.0000 0.5000
Cd 0.7916 0.7916 0.0000

Largest 10 diffraction maxima, low angle first, 2θ from 15° to 90°:
d (Å), 2θ (°), I_rel
2.992, 29.9, 1000
2.752, 32.5, 141
2.646, 33.9, 273
2.334, 38.6, 318
2.275, 39.6, 780
2.225, 40.5, 306
1.703, 53.8, 142
1.611, 57.2, 197
1.445, 64.5, 249
1.294, 73.1, 120


3.
The following is a computed XRD peak list of Ho3HgPt. It was derived from a DFT-relaxed cell (PBE, Alexandria), using CuKα.
Kinematic intensities with the Lorentz-polarization factor, no thermal factor.

Cell and atoms:
a = 4.6898 Å, b = 6.8155 Å, c = 8.4059 Å
α = 90.00°, β = 90.00°, γ = 90.00°
Atoms (fractional coordinates):
Ho 0.2500 0.0006 0.1618
Ho 0.2500 0.2500 0.5550
Ho 0.2500 0.4994 0.1618
Ho 0.7500 0.5006 0.8382
Ho 0.7500 0.7500 0.4450
Ho 0.7500 0.9994 0.8382
Hg 0.2500 0.7500 0.6752
Hg 0.7500 0.2500 0.3248
Pt 0.2500 0.2500 0.8910
Pt 0.7500 0.7500 0.1090

Largest 10 diffraction maxima, low angle first, 2θ from 15° to 90°:
d (Å), 2θ (°), I_rel
3.577, 24.9, 167
3.158, 28.3, 147
3.130, 28.5, 275
2.844, 31.5, 247
2.620, 34.2, 1000
2.591, 34.6, 142
2.345, 38.4, 356
2.268, 39.7, 231
1.964, 46.2, 169
1.401, 66.8, 156


4.
The following is a computed XRD peak list of KNaH3Au. It was derived from a DFT-relaxed cell (PBE, Alexandria), using CuKα.
Kinematic intensities with the Lorentz-polarization factor, no thermal factor.

Cell and atoms:
a = 5.9895 Å, b = 5.9895 Å, c = 6.5977 Å
α = 90.00°, β = 90.00°, γ = 120.00°
Atoms (fractional coordinates):
K 0.3333 0.6667 0.2500
K 0.6667 0.3333 0.7500
Na 0.0000 0.0000 0.0000
Na 0.0000 0.0000 0.5000
H 0.1655 0.3310 0.7500
H 0.1655 0.8345 0.7500
H 0.3310 0.1655 0.2500
H 0.6690 0.8345 0.7500
H 0.8345 0.1655 0.2500
H 0.8345 0.6690 0.2500
Au 0.3333 0.6667 0.7500
Au 0.6667 0.3333 0.2500

Largest 10 diffraction maxima, low angle first, 2θ from 15° to 90°:
d (Å), 2θ (°), I_rel
5.187, 17.1, 419
4.078, 21.8, 1000
3.299, 27.0, 263
2.995, 29.8, 879
2.784, 32.2, 433
2.414, 37.3, 254
2.217, 40.7, 503
1.879, 48.4, 267
1.685, 54.4, 190
1.445, 64.5, 191


5.
The following is a computed XRD peak list of Ce3Mg3Zn8. It was derived from a DFT-relaxed cell (PBE, Alexandria), using CuKα.
Kinematic intensities with the Lorentz-polarization factor, no thermal factor.

Cell and atoms:
a = 8.5246 Å, b = 8.5246 Å, c = 8.5246 Å
α = 148.90°, β = 116.38°, γ = 72.51°
Atoms (fractional coordinates):
Ce 0.0000 0.0000 0.0000
Ce 0.2918 0.2918 0.0000
Ce 0.7082 0.7082 0.0000
Mg 0.3003 0.5000 0.8003
Mg 0.5000 0.0000 0.5000
Mg 0.6997 0.5000 0.1997
Zn 0.0254 0.6637 0.3617
Zn 0.1302 0.8529 0.2773
Zn 0.3019 0.6637 0.6383
Zn 0.4243 0.1471 0.2773
Zn 0.5757 0.8529 0.7227
Zn 0.6981 0.3363 0.3617
Zn 0.8698 0.1471 0.7227
Zn 0.9746 0.3363 0.6383

Largest 10 diffraction maxima, low angle first, 2θ from 15° to 90°:
d (Å), 2θ (°), I_rel
4.078, 21.8, 155
3.236, 27.6, 174
2.730, 32.8, 274
2.626, 34.1, 1000
2.506, 35.8, 613
2.355, 38.2, 201
2.291, 39.3, 158
2.285, 39.4, 351
1.690, 54.3, 189
1.407, 66.5, 171


6.
The following is a computed XRD peak list of Sr2ReBi. It was derived from a DFT-relaxed cell (PBE, Alexandria), using CuKα.
Kinematic intensities with the Lorentz-polarization factor, no thermal factor.

Cell and atoms:
a = 8.4333 Å, b = 8.4333 Å, c = 8.4333 Å
α = 95.62°, β = 95.62°, γ = 143.53°
Atoms (fractional coordinates):
Sr 0.3750 0.0478 0.1728
Sr 0.7978 0.6250 0.6728
Sr 0.8750 0.2022 0.8272
Sr 0.9522 0.1250 0.3272
Re 0.0000 0.0000 0.0000
Re 0.7500 0.2500 0.5000
Bi 0.2500 0.7500 0.5000
Bi 0.5000 0.5000 0.0000

Largest 10 diffraction maxima, low angle first, 2θ from 15° to 90°:
d (Å), 2θ (°), I_rel
5.664, 15.6, 1000
4.005, 22.2, 305
3.655, 24.4, 169
2.832, 31.6, 306
2.533, 35.4, 506
2.506, 35.8, 351
2.125, 42.6, 426
1.877, 48.5, 173
1.699, 54.0, 225
1.369, 68.5, 165


7.
The following is a computed XRD peak list of TbPmTmCd. It was derived from a DFT-relaxed cell (PBE, Alexandria), using CuKα.
Kinematic intensities with the Lorentz-polarization factor, no thermal factor.

Cell and atoms:
a = 3.6057 Å, b = 3.6057 Å, c = 9.0312 Å
α = 90.00°, β = 90.00°, γ = 90.00°
Atoms (fractional coordinates):
Tb 0.0000 0.0000 0.0000
Pm 0.5000 0.5000 0.2801
Tm 0.0000 0.0000 0.5552
Cd 0.5000 0.5000 0.7718

Largest 10 diffraction maxima, low angle first, 2θ from 15° to 90°:
d (Å), 2θ (°), I_rel
2.818, 31.8, 1000
2.550, 35.2, 407
2.258, 39.9, 108
1.803, 50.6, 144
1.690, 54.3, 177
1.519, 61.0, 306
1.409, 66.4, 96
1.389, 67.4, 62
1.161, 83.2, 64
1.140, 85.1, 65


8.
The following is a computed XRD peak list of MgSc2GeC. It was derived from a DFT-relaxed cell (PBE, Alexandria), using CuKα.
Kinematic intensities with the Lorentz-polarization factor, no thermal factor.

Cell and atoms:
a = 4.4869 Å, b = 4.4869 Å, c = 4.2623 Å
α = 90.00°, β = 90.00°, γ = 90.00°
Atoms (fractional coordinates):
Mg 0.0000 0.0000 0.0000
Sc 0.0000 0.5000 0.5000
Sc 0.5000 0.0000 0.5000
Ge 0.5000 0.5000 0.0000
C 0.0000 0.0000 0.5000

Largest 10 diffraction maxima, low angle first, 2θ from 15° to 90°:
d (Å), 2θ (°), I_rel
4.487, 19.8, 87
3.090, 28.9, 195
2.545, 35.3, 1000
2.243, 40.2, 425
2.131, 42.4, 180
1.586, 58.2, 132
1.545, 59.9, 241
1.346, 69.9, 248
1.297, 73.0, 108
1.273, 74.6, 120


9.
The following is a computed XRD peak list of Nd14ScPb. It was derived from a DFT-relaxed cell (PBE, Alexandria), using CuKα.
Kinematic intensities with the Lorentz-polarization factor, no thermal factor.

Cell and atoms:
a = 7.2203 Å, b = 7.2203 Å, c = 10.3138 Å
α = 90.00°, β = 90.00°, γ = 90.00°
Atoms (fractional coordinates):
Nd 0.0000 0.0000 0.0000
Nd 0.0000 0.5000 0.0000
Nd 0.0000 0.5000 0.5000
Nd 0.2492 0.2492 0.2571
Nd 0.2492 0.2492 0.7429
Nd 0.2492 0.7508 0.2571
Nd 0.2492 0.7508 0.7429
Nd 0.5000 0.0000 0.0000
Nd 0.5000 0.0000 0.5000
Nd 0.5000 0.5000 0.0000
Nd 0.7508 0.2492 0.2571
Nd 0.7508 0.2492 0.7429
Nd 0.7508 0.7508 0.2571
Nd 0.7508 0.7508 0.7429
Sc 0.0000 0.0000 0.5000
Pb 0.5000 0.5000 0.5000

Largest 10 diffraction maxima, low angle first, 2θ from 15° to 90°:
d (Å), 2θ (°), I_rel
2.957, 30.2, 1000
2.578, 34.8, 170
2.553, 35.2, 336
1.814, 50.3, 239
1.805, 50.6, 120
1.552, 59.6, 141
1.541, 60.0, 284
1.479, 62.8, 122
1.177, 81.9, 114
1.172, 82.3, 58


10.
The following is a computed XRD peak list of La12InNi5. It was derived from a DFT-relaxed cell (PBE, Alexandria), using CuKα.
Kinematic intensities with the Lorentz-polarization factor, no thermal factor.

Cell and atoms:
a = 8.7989 Å, b = 8.7989 Å, c = 8.7989 Å
α = 112.43°, β = 109.84°, γ = 106.20°
Atoms (fractional coordinates):
La 0.0151 0.2007 0.8144
La 0.1789 0.3059 0.4847
La 0.1789 0.6941 0.8730
La 0.3265 0.0152 0.6887
La 0.3265 0.6377 0.3113
La 0.3863 0.2007 0.1856
La 0.6137 0.7993 0.8144
La 0.6735 0.3623 0.6887
La 0.6735 0.9848 0.3113
La 0.8211 0.3059 0.1270
La 0.8211 0.6941 0.5153
La 0.9849 0.7993 0.1856
In 0.5000 0.5000 0.0000
Ni 0.0000 0.0000 0.0000
Ni 0.1260 0.6260 0.5000
Ni 0.3660 0.0000 0.3660
Ni 0.6340 0.0000 0.6340
Ni 0.8740 0.3740 0.5000

Largest 10 diffraction maxima, low angle first, 2θ from 15° to 90°:
d (Å), 2θ (°), I_rel
3.314, 26.9, 322
3.212, 27.8, 435
3.104, 28.8, 496
2.927, 30.5, 1000
2.751, 32.6, 873
2.729, 32.8, 914
2.685, 33.4, 288
2.653, 33.8, 534
1.651, 55.7, 282
1.612, 57.1, 420


11.
The following is a computed XRD peak list of Sm3YGa2. It was derived from a DFT-relaxed cell (PBE, Alexandria), using CuKα.
Kinematic intensities with the Lorentz-polarization factor, no thermal factor.

Cell and atoms:
a = 5.0831 Å, b = 9.5939 Å, c = 6.6418 Å
α = 90.00°, β = 90.00°, γ = 90.00°
Atoms (fractional coordinates):
Sm 0.0000 0.0492 0.0000
Sm 0.0000 0.3293 0.3426
Sm 0.0000 0.6707 0.8426
Sm 0.0000 0.9508 0.5000
Sm 0.5000 0.1761 0.7061
Sm 0.5000 0.8239 0.2061
Y 0.5000 0.4476 0.0472
Y 0.5000 0.5524 0.5472
Ga 0.0000 0.3542 0.8167
Ga 0.0000 0.6458 0.3167
Ga 0.5000 0.1470 0.2334
Ga 0.5000 0.8530 0.7334

Largest 10 diffraction maxima, low angle first, 2θ from 15° to 90°:
d (Å), 2θ (°), I_rel
3.089, 28.9, 370
2.780, 32.2, 461
2.730, 32.8, 343
2.707, 33.1, 1000
2.670, 33.6, 877
2.542, 35.3, 603
2.304, 39.1, 218
1.860, 49.0, 221
1.498, 61.9, 260
1.491, 62.3, 228


12.
The following is a computed XRD peak list of CuIr2Pb. It was derived from a DFT-relaxed cell (PBE, Alexandria), using CuKα.
Kinematic intensities with the Lorentz-polarization factor, no thermal factor.

Cell and atoms:
a = 2.9494 Å, b = 4.4407 Å, c = 5.1529 Å
α = 90.00°, β = 96.66°, γ = 90.00°
Atoms (fractional coordinates):
Cu 0.0000 0.0000 0.0000
Ir 0.2014 0.5000 0.7839
Ir 0.7986 0.5000 0.2161
Pb 0.5000 0.0000 0.5000

Largest 10 diffraction maxima, low angle first, 2θ from 15° to 90°:
d (Å), 2θ (°), I_rel
3.354, 26.6, 234
2.445, 36.8, 138
2.424, 37.1, 458
2.294, 39.3, 673
2.218, 40.7, 1000
1.637, 56.2, 279
1.391, 67.3, 131
1.340, 70.3, 172
1.296, 73.0, 110
1.281, 74.0, 112